Structure and simulated X-ray diffraction stick pattern of Rb3H9Ir2 (a structure optimized by DFT (PBE); λ = 1.5418 Å (Cu Kα)).
No peak broadening, texture or thermal motion is included.

Structure:
```
28
Lattice="6.0280 0.0000 0.0000 -3.0140 5.2204 0.0000 0.0000 0.0000 15.0819" Properties=species:S:1:pos:R:3 pbc="T T T"
Rb 0.0000 0.0000 3.7705
Rb 0.0000 0.0000 11.3114
Rb 0.0000 3.4802 1.2927
Rb 0.0000 3.4802 6.2482
Rb 3.0140 1.7401 8.8337
Rb 3.0140 1.7401 13.7892
H -1.1874 2.7947 11.3114
H 0.0000 2.2479 8.9839
H 0.0000 2.2479 13.6389
H -1.0672 4.0964 8.9839
H -1.0672 4.0964 13.6389
H 1.9468 1.1240 1.4430
H 1.9468 1.1240 6.0980
H 1.1874 2.7947 11.3114
H 0.0000 4.8514 11.3114
H 3.0140 0.3690 3.7705
H 1.8265 2.4257 3.7705
H 1.0672 4.0964 8.9839
H 1.0672 4.0964 13.6389
H 4.0812 1.1240 1.4430
H 4.0812 1.1240 6.0980
H 3.0140 2.9724 1.4430
H 3.0140 2.9724 6.0980
H 4.2014 2.4257 3.7705
Ir 0.0000 3.4802 10.0454
Ir 0.0000 3.4802 12.5774
Ir 3.0140 1.7401 2.5045
Ir 3.0140 1.7401 5.0365
```

Main lines, by angle (10 to 90 degrees two-theta):
| h k l | Position (°2θ) | I/Imax |
| --- | --- | --- |
| 0 0 2 | 11.74 | 25.9 |
| 1 0 0 | 16.98 | 34.7 |
| 1 0 1 | 17.98 | 71.8 |
| 1 0 4 | 29.22 | 27.4 |
| 1 1 0 | 29.64 | 100.0 |
| 1 0 5 | 34.34 | 46.9 |